Entry 1:
Starting from a structure optimized by DFT (GGA-PBE), the powder XRD pattern of NiB4 was computed for CuKα.

Structure:
```
NiB4
1.0
2.7335 -1.4034 0.0000
2.7335 1.4034 0.0000
-2.6174 0.0000 5.0174
Ni B
1 4
Direct
0.0000 0.0000 0.0000
0.1092 0.1092 0.3917
0.4499 0.4499 0.7010
0.7150 0.7150 0.6093
0.7524 0.7524 0.2920
```

Main lines, by angle (2θ = 10–80°):
2theta, I_rel
17.7, 100.0
32.8, 66.9
35.8, 26.7
37.0, 90.3
37.2, 62.2
37.9, 26.5
45.1, 40.6
45.6, 38.6
58.7, 23.1
59.4, 22.4

Entry 2:
Starting from a structure optimized by DFT (GGA-PBE), the powder XRD pattern of NiB4 was computed for CuKα.

Structure:
```
NiB4
1.0
1.4437 0.8335 5.0834
-1.4437 0.8335 5.0834
0.0000 -1.6670 5.0834
Ni B
1 4
Direct
0.0000 0.0000 0.0000
0.1395 0.1395 0.1395
0.2492 0.2492 0.2492
0.7508 0.7508 0.7508
0.8605 0.8605 0.8605
```

Main lines, by angle (2θ = 10–80°):
2theta, I_rel
17.4, 83.8
35.3, 21.1
36.4, 100.0
37.9, 34.5
43.3, 46.4
47.0, 30.6
56.0, 28.8
61.1, 27.9
64.6, 25.2
67.4, 14.4

Entry 3:
Starting from a structure optimized by DFT (GGA-PBE), the powder XRD pattern of NiB12 was computed for CuKα.

Structure:
```
NiB12
1.0
0.0000 3.6985 3.6985
3.6985 0.0000 3.6985
3.6985 3.6985 0.0000
Ni B
1 12
Direct
0.0000 0.0000 0.0000
0.1608 0.5000 0.5000
0.1608 0.5000 0.8392
0.1608 0.8392 0.5000
0.5000 0.1608 0.5000
0.5000 0.1608 0.8392
0.5000 0.5000 0.1608
0.5000 0.5000 0.8392
0.5000 0.8392 0.1608
0.5000 0.8392 0.5000
0.8392 0.1608 0.5000
0.8392 0.5000 0.1608
0.8392 0.5000 0.5000
```

Main lines, by angle (2θ = 10–80°):
2theta, I_rel
20.8, 35.8
24.1, 52.5
34.3, 16.7
40.4, 100.0
42.3, 31.2
54.0, 22.1
55.6, 9.8
61.4, 25.6
76.1, 26.9
77.4, 21.2